Entry 1:
Structure and simulated powder diffraction line list of SrTmO3 (a PBE-relaxed structure; CuKα).
Peak positions follow from Bragg's law for the DFT cell and can differ from measured ones.

Structure:
a b c (Å): 4.316 4.316 4.316
angles (deg): 90.00 90.00 90.00
Fractional positions:
Sr1 0.000 0.000 0.000
Tm1 0.500 0.500 0.500
O1 0.000 0.500 0.500
O2 0.500 0.000 0.500
O3 0.500 0.500 0.000

Principal peaks in the range 5 to 70 degrees two-theta, by angle:
2θ (°), I/Imax
20.58, 20
29.26, 100
36.04, 1
41.86, 31
47.08, 9
51.89, 42
60.69, 19
64.80, 4
68.78, 18

***

Entry 2:
Structure and simulated powder diffraction line list of SrU2O6 (a PBE-relaxed structure; CuKα).
Peak positions follow from Bragg's law for the DFT cell and can differ from measured ones.

Structure:
a b c (Å): 6.558 6.558 6.558
angles (deg): 145.49 130.12 62.07
Fractional positions:
Sr1 0.000 0.000 0.000
U1 0.335 0.335 0.000
U2 0.665 0.665 0.000
O1 0.088 0.821 0.266
O2 0.281 0.500 0.781
O3 0.445 0.179 0.266
O4 0.555 0.821 0.734
O5 0.719 0.500 0.219
O6 0.912 0.179 0.734

Principal peaks in the range 5 to 70 degrees two-theta, by angle:
2θ (°), I/Imax
17.87, 22
28.04, 100
28.78, 94
32.36, 30
33.20, 43
46.69, 18
47.05, 67
48.60, 15
55.13, 16
55.56, 15
55.78, 31
57.05, 29

***

Entry 3:
Structure and simulated powder diffraction line list of Sr4U2O9 (a PBE-relaxed structure; CuKα).
Peak positions follow from Bragg's law for the DFT cell and can differ from measured ones.

Structure:
a b c (Å): 8.667 6.238 20.120
angles (deg): 90.00 115.46 90.00
Fractional positions:
Sr1 0.074 0.051 0.327
Sr2 0.074 0.449 0.827
Sr3 0.167 0.501 0.667
Sr4 0.167 0.999 0.167
Sr5 0.250 0.544 0.504
Sr6 0.250 0.956 0.004
Sr7 0.407 0.050 0.664
Sr8 0.407 0.450 0.164
Sr9 0.593 0.550 0.836
Sr10 0.593 0.950 0.336
Sr11 0.750 0.044 0.996
Sr12 0.750 0.456 0.496
Sr13 0.833 0.001 0.833
Sr14 0.833 0.499 0.333
Sr15 0.926 0.551 0.173
Sr16 0.926 0.949 0.673
U1 0.000 0.000 0.500
U2 0.000 0.500 0.000
U3 0.333 0.504 0.335
U4 0.333 0.996 0.835
U5 0.500 0.000 0.500
U6 0.500 0.500 0.000
U7 0.667 0.004 0.165
U8 0.667 0.496 0.665
O1 0.116 0.219 0.057
O2 0.116 0.281 0.557
O3 0.145 0.051 0.873
O4 0.145 0.449 0.373
O5 0.150 0.675 0.094
O6 0.150 0.825 0.594
O7 0.187 0.179 0.741
O8 0.187 0.321 0.241
O9 0.207 0.717 0.777
O10 0.207 0.783 0.277
O11 0.227 0.542 0.965
O12 0.227 0.958 0.465
O13 0.465 0.195 0.405
O14 0.465 0.305 0.905
O15 0.476 0.052 0.201
O16 0.476 0.448 0.701
O17 0.492 0.708 0.437
O18 0.492 0.792 0.937
O19 0.508 0.208 0.063
O20 0.508 0.292 0.563
O21 0.524 0.552 0.299
O22 0.524 0.948 0.799
O23 0.535 0.695 0.095
O24 0.535 0.805 0.595
O25 0.773 0.042 0.535
O26 0.773 0.458 0.035
O27 0.793 0.217 0.723
O28 0.793 0.283 0.223
O29 0.813 0.679 0.759
O30 0.813 0.821 0.259
O31 0.850 0.175 0.406
O32 0.850 0.325 0.906
O33 0.855 0.551 0.627
O34 0.855 0.949 0.127
O35 0.884 0.719 0.443
O36 0.884 0.781 0.943

Principal peaks in the range 5 to 70 degrees two-theta, by angle:
2θ (°), I/Imax
20.46, 30
28.62, 24
29.10, 100
29.50, 23
41.57, 23
41.69, 12
51.00, 19
51.35, 11
51.89, 12
52.09, 24
60.33, 14
68.45, 10